(1)
Structure and simulated powder XRD pattern of CaAlTl2Sb2 (DFT lattice parameters and positions (GGA-PBE); Cu Kα (weighted mean of Kα1 and Kα2)).

Atomic structure:
Lattice parameters (Å, degrees): 4.4647 10.5285 7.6368 90.00 90.00 90.00
Space group Pmc2_1 (No. 26)
One atom of each set of equivalent atoms:
Ca 0.0000 0.0780 0.0000 x2
Al 0.5000 0.1578 0.6567 x2
Tl 0.0000 0.3365 0.2974 x2
Tl 0.5000 0.4601 0.0097 x2
Sb 0.0000 0.3066 0.7243 x2
Sb 0.5000 0.0876 0.3009 x2

Largest 10 diffraction maxima, in order of rising 2θ, 10° ≤ 2θ ≤ 90°:
hkl	d_spacing	2θ (°)	I (rel.)
1 2 0	3.405	26.2	570
0 3 1	3.189	28.0	190
1 2 1	3.110	28.7	548
0 2 2	3.091	28.9	320
1 0 2	2.902	30.8	286
1 1 2	2.798	32.0	1000
1 3 0	2.759	32.4	554
0 3 2	2.584	34.7	313
0 1 3	2.474	36.3	186
2 0 0	2.233	40.4	369

(2)
Structure and simulated powder XRD pattern of CaSm4Al2 (DFT lattice parameters and positions (GGA-PBE); Cu Kα (weighted mean of Kα1 and Kα2)).

Atomic structure:
Lattice parameters (Å, degrees): 7.0141 10.7585 11.5613 90.00 90.00 90.00
Space group Fmmm (No. 69)
One atom of each set of equivalent atoms:
Ca 0.0000 0.0000 0.0000 x4
Sm 0.0000 0.1606 0.5000 x8
Sm 0.2500 0.2500 0.2500 x8
Al 0.0000 0.0000 0.2711 x8

Largest 10 diffraction maxima, in order of rising 2θ, 10° ≤ 2θ ≤ 90°:
hkl	d_spacing	2θ (°)	I (rel.)
0 2 0	5.379	16.5	639
1 1 1	5.238	16.9	339
1 3 1	3.078	29.0	687
2 0 2	2.998	29.8	1000
0 0 4	2.890	30.9	621
2 2 2	2.619	34.2	770
0 2 4	2.546	35.3	213
1 3 3	2.459	36.5	435
0 4 2	2.439	36.9	404
2 6 4	1.398	67.0	274

(3)
Structure and simulated powder XRD pattern of Ca2SmAl9 (DFT lattice parameters and positions (GGA-PBE); Cu Kα (weighted mean of Kα1 and Kα2)).

Atomic structure:
Lattice parameters (Å, degrees): 5.6121 5.6121 26.8402 90.00 90.00 120.00
Space group R-3m (No. 166, hexagonal axes)
One atom of each set of equivalent atoms:
Ca 0.0000 0.0000 0.1420 x6
Sm 0.0000 0.0000 0.0000 x3
Al 0.0000 0.0000 0.3350 x6
Al 0.0000 0.0000 0.5000 x3
Al 0.0047 0.5023 0.9181 x18

Largest 10 diffraction maxima, in order of rising 2θ, 10° ≤ 2θ ≤ 90°:
hkl	d_spacing	2θ (°)	I (rel.)
1 0 1	4.782	18.6	265
0 1 2	4.570	19.4	241
0 1 5	3.603	24.7	196
1 0 7	3.010	29.7	435
1 1 0	2.806	31.9	490
0 1 8	2.761	32.4	403
0 2 1	2.420	37.1	393
2 0 2	2.391	37.6	213
1 1 6	2.377	37.8	1000
3 0 6	1.523	60.8	243

(4)
Structure and simulated powder XRD pattern of Sr2CaAlSn2 (DFT lattice parameters and positions (GGA-PBE); Cu Kα (weighted mean of Kα1 and Kα2)).

Atomic structure:
Lattice parameters (Å, degrees): 7.0073 15.7829 7.0659 90.00 90.00 90.00
Space group Ibam (No. 72)
One atom of each set of equivalent atoms:
Sr 0.2297 0.1709 0.0000 x8
Ca 0.0000 0.5000 0.2500 x4
Al 0.0000 0.0000 0.2500 x4
Sn 0.2301 0.1123 0.5000 x8

Largest 10 diffraction maxima, in order of rising 2θ, 10° ≤ 2θ ≤ 90°:
hkl	d_spacing	2θ (°)	I (rel.)
1 2 1	4.209	21.1	320
0 4 0	3.946	22.5	386
0 0 2	3.533	25.2	677
2 0 0	3.504	25.4	614
1 4 1	3.092	28.9	928
0 4 2	2.632	34.1	760
2 4 0	2.620	34.2	670
2 0 2	2.488	36.1	1000
1 6 1	2.325	38.7	429
1 8 1	1.834	49.7	317

(5)
Structure and simulated powder XRD pattern of Sr3CaAl8 (DFT lattice parameters and positions (GGA-PBE); Cu Kα (weighted mean of Kα1 and Kα2)).

Atomic structure:
Lattice parameters (Å, degrees): 5.8386 5.8386 9.4550 90.00 90.00 120.00
Space group P3m1 (No. 156)
One atom of each set of equivalent atoms:
Sr 0.0000 0.0000 0.0000 x1
Sr 0.0000 0.0000 0.3671 x1
Sr 0.3333 0.6667 0.8649 x1
Ca 0.3333 0.6667 0.4996 x1
Al 0.0067 0.5033 0.1861 x3
Al 0.3288 0.1644 0.6794 x3
Al 0.6667 0.3333 0.4316 x1
Al 0.6667 0.3333 0.9296 x1

Largest 10 diffraction maxima, in order of rising 2θ, 10° ≤ 2θ ≤ 90°:
hkl	d_spacing	2θ (°)	I (rel.)
1 0 1	4.459	19.9	205
1 1 0	2.919	30.6	655
1 0 3	2.675	33.5	1000
1 1 2	2.484	36.2	872
0 2 1	2.442	36.8	533
2 1 3	1.634	56.3	419
3 0 2	1.588	58.1	219
2 0 5	1.514	61.2	252
2 2 0	1.460	63.8	221
1 3 3	1.281	74.0	192

(6)
Structure and simulated powder XRD pattern of SrCa7Al5 (DFT lattice parameters and positions (GGA-PBE); Cu Kα (weighted mean of Kα1 and Kα2)).

Atomic structure:
Lattice parameters (Å, degrees): 6.4891 10.7623 11.1154 90.00 90.00 90.00
Space group Imm2 (No. 44)
One atom of each set of equivalent atoms:
Sr 0.0000 0.0000 0.0000 x2
Ca 0.0000 0.0000 0.3502 x2
Ca 0.0000 0.0000 0.6883 x2
Ca 0.0000 0.3033 0.5456 x4
Ca 0.0000 0.3321 0.0792 x4
Ca 0.0000 0.5000 0.7953 x2
Al 0.0000 0.5000 0.3287 x2
Al 0.2241 0.2356 0.8119 x8

Largest 10 diffraction maxima, in order of rising 2θ, 10° ≤ 2θ ≤ 90°:
hkl	d_spacing	2θ (°)	I (rel.)
0 1 3	3.503	25.4	475
2 0 0	3.245	27.5	585
1 3 0	3.140	28.4	726
2 0 2	2.802	31.9	422
0 0 4	2.779	32.2	827
1 2 3	2.762	32.4	792
1 3 2	2.734	32.8	969
0 4 0	2.691	33.3	378
2 2 2	2.485	36.1	1000
2 1 3	2.380	37.8	389

(7)
Structure and simulated powder XRD pattern of Sr2CaAl2 (DFT lattice parameters and positions (GGA-PBE); Cu Kα (weighted mean of Kα1 and Kα2)).

Atomic structure:
Lattice parameters (Å, degrees): 10.3112 4.8086 6.9303 90.00 92.96 90.00
Space group C2/m (No. 12)
One atom of each set of equivalent atoms:
Sr 0.1478 0.0000 0.3493 x4
Ca 0.0000 0.5000 0.0000 x2
Al 0.2003 0.0000 0.8830 x4

Largest 10 diffraction maxima, in order of rising 2θ, 10° ≤ 2θ ≤ 90°:
hkl	d_spacing	2θ (°)	I (rel.)
1 1 0	4.357	20.4	304
2 0 -1	4.237	21.0	540
1 1 1	3.651	24.4	928
2 0 2	2.806	31.9	480
3 1 0	2.794	32.0	992
1 1 -2	2.739	32.7	1000
0 2 0	2.404	37.4	379
4 0 -2	2.119	42.7	188
2 2 2	1.826	50.0	261
2 0 -4	1.665	55.2	180

(8)
Structure and simulated powder XRD pattern of Sr3CaAl8 (DFT lattice parameters and positions (GGA-PBE); Cu Kα (weighted mean of Kα1 and Kα2)).

Atomic structure:
Lattice parameters (Å, degrees): 5.8489 5.8489 28.1865 90.00 90.00 120.00
Space group R3m (No. 160, hexagonal axes)
One atom of each set of equivalent atoms:
Sr 0.0000 0.0000 0.0000 x3
Sr 0.0000 0.0000 0.1248 x3
Sr 0.0000 0.0000 0.6237 x3
Ca 0.0000 0.0000 0.4996 x3
Al 0.0000 0.0000 0.3123 x3
Al 0.0000 0.0000 0.8121 x3
Al 0.9996 0.4998 0.5612 x9
Al 0.0012 0.5006 0.0631 x9

Largest 10 diffraction maxima, in order of rising 2θ, 10° ≤ 2θ ≤ 90°:
hkl	d_spacing	2θ (°)	I (rel.)
0 1 2	4.767	18.6	304
1 1 0	2.924	30.6	710
0 1 8	2.892	30.9	688
2 0 2	2.493	36.0	516
1 1 6	2.483	36.2	1000
1 0 10	2.463	36.5	508
1 2 8	1.682	54.6	265
3 0 6	1.589	58.0	245
2 1 10	1.584	58.3	252
2 2 0	1.462	63.6	241

(9)
Structure and simulated powder XRD pattern of CaTb5Al4 (DFT lattice parameters and positions (GGA-PBE); Cu Kα (weighted mean of Kα1 and Kα2)).

Atomic structure:
Lattice parameters (Å, degrees): 3.5964 3.5964 20.3008 90.00 90.00 90.00
Space group P4/mmm (No. 123)
One atom of each set of equivalent atoms:
Ca 0.0000 0.0000 0.0000 x1
Tb 0.5000 0.5000 0.1406 x2
Tb 0.5000 0.5000 0.3202 x2
Tb 0.5000 0.5000 0.5000 x1
Al 0.0000 0.0000 0.2288 x2
Al 0.0000 0.0000 0.4101 x2

Largest 10 diffraction maxima, in order of rising 2θ, 10° ≤ 2θ ≤ 90°:
hkl	d_spacing	2θ (°)	I (rel.)
1 0 0	3.596	24.8	1000
0 0 6	3.384	26.3	397
1 0 5	2.692	33.3	933
1 1 0	2.543	35.3	894
1 0 6	2.464	36.5	810
1 1 6	2.033	44.6	332
2 0 0	1.798	50.8	327
1 0 11	1.642	56.0	343
1 1 11	1.495	62.1	580
2 1 6	1.453	64.1	309

(10)
Structure and simulated powder XRD pattern of CaTbAlZn (DFT lattice parameters and positions (GGA-PBE); Cu Kα (weighted mean of Kα1 and Kα2)).

Atomic structure:
Lattice parameters (Å, degrees): 3.5905 3.5905 7.5408 90.00 90.00 90.00
Space group P4mm (No. 99)
One atom of each set of equivalent atoms:
Ca 0.0000 0.0000 0.0000 x1
Tb 0.0000 0.0000 0.5089 x1
Al 0.5000 0.5000 0.2649 x1
Zn 0.5000 0.5000 0.7442 x1

Largest 10 diffraction maxima, in order of rising 2θ, 10° ≤ 2θ ≤ 90°:
hkl	d_spacing	2θ (°)	I (rel.)
0 0 1	7.541	11.7	587
1 0 0	3.590	24.8	135
1 0 1	3.242	27.5	266
1 0 2	2.600	34.5	1000
1 1 0	2.539	35.4	471
1 1 1	2.406	37.4	158
1 0 3	2.059	44.0	126
2 0 0	1.795	50.9	163
1 1 4	1.514	61.2	178
2 1 2	1.477	62.9	335

(11)
Structure and simulated powder XRD pattern of Ca2Al3Tc (DFT lattice parameters and positions (GGA-PBE); Cu Kα (weighted mean of Kα1 and Kα2)).

Atomic structure:
Lattice parameters (Å, degrees): 5.6672 5.6672 13.0712 90.00 90.00 120.00
Space group R-3m (No. 166, hexagonal axes)
One atom of each set of equivalent atoms:
Ca 0.0000 0.0000 0.1274 x6
Al 0.0000 0.5000 0.0000 x9
Tc 0.0000 0.0000 0.5000 x3

Largest 10 diffraction maxima, in order of rising 2θ, 10° ≤ 2θ ≤ 90°:
hkl	d_spacing	2θ (°)	I (rel.)
1 0 1	4.595	19.3	370
0 1 2	3.925	22.7	268
1 1 0	2.834	31.6	579
1 1 3	2.375	37.9	1000
0 1 5	2.307	39.0	424
2 0 2	2.297	39.2	404
3 0 3	1.532	60.4	239
1 2 5	1.513	61.3	212
2 2 0	1.417	65.9	178
2 0 8	1.360	69.1	154

(12)
Structure and simulated powder XRD pattern of CaAl2Te4 (DFT lattice parameters and positions (GGA-PBE); Cu Kα (weighted mean of Kα1 and Kα2)).

Atomic structure:
Lattice parameters (Å, degrees): 6.7758 11.5493 11.5564 90.00 90.00 90.00
Space group Cccm (No. 66)
One atom of each set of equivalent atoms:
Ca 0.0000 0.0000 0.2500 x4
Al 0.0018 0.2601 0.0000 x8
Te 0.2322 0.0739 0.5000 x8
Te 0.2500 0.2500 0.1774 x8

Largest 10 diffraction maxima, in order of rising 2θ, 10° ≤ 2θ ≤ 90°:
hkl	d_spacing	2θ (°)	I (rel.)
0 2 2	4.085	21.8	148
2 0 0	3.388	26.3	176
1 3 1	3.216	27.7	1000
0 0 4	2.888	31.0	119
2 2 2	2.608	34.4	351
2 4 2	2.054	44.1	115
3 1 3	1.921	47.3	218
1 3 5	1.902	47.8	325
2 6 0	1.674	54.8	126
3 3 5	1.489	62.3	139

(13)
Structure and simulated powder XRD pattern of CaAlTl (DFT lattice parameters and positions (GGA-PBE); Cu Kα (weighted mean of Kα1 and Kα2)).

Atomic structure:
Lattice parameters (Å, degrees): 11.4342 4.7639 7.6148 90.00 131.49 90.00
Space group C2/m (No. 12)
One atom of each set of equivalent atoms:
Ca 0.0486 0.0000 0.2995 x4
Al 0.1488 0.5000 0.1081 x4
Tl 0.1742 0.5000 0.7409 x4

Largest 10 diffraction maxima, in order of rising 2θ, 10° ≤ 2θ ≤ 90°:
hkl	d_spacing	2θ (°)	I (rel.)
2 0 -1	5.678	15.6	792
1 1 -1	4.039	22.0	1000
1 1 1	2.942	30.4	725
0 0 2	2.852	31.4	452
3 1 -2	2.806	31.9	944
4 0 -1	2.669	33.6	288
3 1 0	2.449	36.7	714
4 0 -3	2.433	36.9	441
0 2 0	2.382	37.8	385
4 2 -3	1.702	53.9	300

(14)
Structure and simulated powder XRD pattern of CaAl2Tl (DFT lattice parameters and positions (GGA-PBE); Cu Kα (weighted mean of Kα1 and Kα2)).

Atomic structure:
Lattice parameters (Å, degrees): 4.3294 4.6299 9.5523 90.00 90.00 90.00
Space group Imm2 (No. 44)
One atom of each set of equivalent atoms:
Ca 0.0000 0.0000 0.0000 x2
Al 0.0000 0.0000 0.5516 x2
Al 0.0000 0.5000 0.2431 x2
Tl 0.0000 0.5000 0.7693 x2

Largest 10 diffraction maxima, in order of rising 2θ, 10° ≤ 2θ ≤ 90°:
hkl	d_spacing	2θ (°)	I (rel.)
0 0 2	4.776	18.6	318
0 1 1	4.166	21.3	483
1 0 1	3.943	22.5	555
1 1 0	3.162	28.2	231
1 1 2	2.637	34.0	1000
0 1 3	2.624	34.2	252
0 0 4	2.388	37.7	171
0 2 0	2.315	38.9	178
2 0 0	2.165	41.7	146
1 2 1	1.996	45.4	181